Theoretical PXRD pattern
Compound: Sr3Fe2Se6O18
Radiation: Cu Kα (λ = 1.5418 Å)
Structure: a cell relaxed with PBE+U
Kinematic intensities with the Lorentz-polarization factor, no thermal factor.

Structural model:
```
Sr3Fe2Se6O18
1.0
4.458 2.574 13.410
-4.458 2.574 13.410
0.000 -5.147 13.410
Sr Fe Se O
6 4 12 36
Cartesian
-2.622 0.606 16.762 Sr
-1.836 -1.967 23.467 Sr
0.786 -2.574 16.762 Sr
-0.786 2.574 23.467 Sr
1.836 1.967 16.762 Sr
2.622 -0.606 23.467 Sr
0.000 0.000 0.000 Fe
0.000 0.000 10.057 Fe
0.000 0.000 20.115 Fe
0.000 0.000 30.172 Fe
-2.544 -0.022 12.221 Se
-1.914 -2.596 18.926 Se
-3.205 0.360 21.303 Se
1.291 -2.192 12.221 Se
-1.253 -2.214 28.008 Se
1.291 -2.955 21.303 Se
-1.291 2.955 18.926 Se
1.253 2.214 12.221 Se
-1.291 2.192 28.008 Se
3.205 -0.360 18.926 Se
1.914 2.596 21.303 Se
2.544 0.022 28.008 Se
-1.387 -0.911 8.844 O
-1.316 -3.800 17.902 O
-3.949 -0.761 22.328 O
-0.516 -3.616 14.659 O
-1.316 -1.347 15.623 O
-0.096 -1.656 11.270 O
-3.390 -1.362 25.571 O
-1.387 0.911 11.270 O
-2.874 2.255 14.659 O
-0.516 -1.531 18.866 O
-0.096 1.656 8.844 O
-1.584 -0.319 21.364 O
1.482 -0.745 8.844 O
-2.633 3.039 17.902 O
-1.068 1.212 18.866 O
-1.825 0.466 24.606 O
-0.509 1.813 15.623 O
1.482 0.745 11.270 O
-1.482 -0.745 28.959 O
0.509 -1.813 24.606 O
1.825 -0.466 15.623 O
1.068 -1.212 21.364 O
2.633 -3.039 22.328 O
-1.482 0.745 31.385 O
1.584 0.319 18.866 O
0.096 -1.656 31.385 O
0.516 1.531 21.364 O
2.874 -2.255 25.571 O
1.387 -0.911 28.959 O
3.390 1.362 14.659 O
0.096 1.656 28.959 O
1.316 1.347 24.606 O
0.516 3.616 25.571 O
3.949 0.761 17.902 O
1.316 3.800 22.328 O
1.387 0.911 31.385 O
```

Top 12 peaks for 2θ from 10° to 90°, by angle:
d 6.124, I = 119
d 4.458, I = 151
d 3.604, I = 126
d 3.156, I = 1000
d 3.062, I = 188
d 2.911, I = 165
d 2.574, I = 183
d 2.138, I = 104
d 1.996, I = 139
d 1.687, I = 112
d 1.671, I = 100
d 1.413, I = 79

Theoretical PXRD pattern
Compound: NaFe5O8
Radiation: Cu Kα (λ = 1.5418 Å)
Structure: a cell relaxed with PBE+U
Kinematic intensities with the Lorentz-polarization factor, no thermal factor.

Structural model:
```
NaFe5O8
1.0
8.533 0.000 0.000
0.000 8.533 0.000
0.000 0.000 8.533
Na Fe O
4 20 32
Cartesian
1.067 1.067 1.067 Na
3.200 7.466 5.333 Na
5.333 3.200 7.466 Na
7.466 5.333 3.200 Na
0.008 4.274 8.525 Fe
1.060 3.200 3.193 Fe
1.067 5.339 5.327 Fe
1.073 7.472 7.466 Fe
2.125 2.141 6.391 Fe
2.141 6.391 2.125 Fe
3.193 1.060 3.200 Fe
3.200 3.193 1.060 Fe
3.206 5.333 7.460 Fe
4.258 4.258 4.258 Fe
4.274 8.525 0.008 Fe
5.327 1.067 5.339 Fe
5.333 7.460 3.206 Fe
5.339 5.327 1.067 Fe
6.391 2.125 2.141 Fe
6.407 6.407 6.407 Fe
7.460 3.206 5.333 Fe
7.466 1.073 7.472 Fe
7.472 7.466 1.073 Fe
8.525 0.008 4.274 Fe
0.872 7.291 1.028 O
0.892 7.272 5.372 O
0.972 3.294 5.238 O
1.028 0.872 7.291 O
1.105 3.375 1.261 O
1.161 5.428 7.371 O
1.242 5.294 3.394 O
1.261 1.105 3.375 O
3.005 7.427 7.641 O
3.025 3.239 7.660 O
3.105 3.105 3.105 O
3.161 5.158 5.527 O
3.239 7.660 3.025 O
3.294 5.238 0.972 O
3.375 1.261 1.105 O
3.394 1.242 5.294 O
5.138 5.508 7.505 O
5.158 5.527 3.161 O
5.238 0.972 3.294 O
5.294 3.394 1.242 O
5.372 0.892 7.272 O
5.428 7.371 1.161 O
5.508 7.505 5.138 O
5.527 3.161 5.158 O
7.272 5.372 0.892 O
7.291 1.028 0.872 O
7.371 1.161 5.428 O
7.427 7.641 3.005 O
7.505 5.138 5.508 O
7.561 7.561 7.561 O
7.641 3.005 7.427 O
7.660 3.025 3.239 O
```

Top 12 peaks for 2θ from 10° to 90°, by angle:
d 6.033, I = 71
d 3.816, I = 83
d 3.017, I = 319
d 2.573, I = 1000
d 2.463, I = 53
d 2.133, I = 169
d 1.742, I = 122
d 1.642, I = 331
d 1.508, I = 433
d 1.349, I = 50
d 1.301, I = 98
d 1.111, I = 168